Simulated powder diffractogram
Compound: LiPtN
Radiation: Cu Kα (λ = 1.5418 Å)
Structure: a DFT-relaxed cell (GGA-PBE, the Materials Project)
Lines closer than 0.1° are merged.

Main lines, by angle (10° ≤ 2θ ≤ 90°):
3.703 Å, I = 32, (0 0 1)
3.271 Å, I = 100, (1 0 0)
2.452 Å, I = 73, (1 0 1)
1.889 Å, I = 23, (1 1 0)
1.682 Å, I = 22, (1 1 1)
1.636 Å, I = 13, (2 0 0)
1.611 Å, I = 25, (1 0 2)
1.496 Å, I = 17, (2 0 1)
1.322 Å, I = 14, (1 1 2)
1.236 Å, I = 10, (2 1 0)
1.226 Å, I = 10, (2 0 2)
1.173 Å, I = 16, (2 1 1)

```
LiPtN
1.0
3.7772 0.0000 0.0000
-1.8886 3.2712 0.0000
0.0000 0.0000 3.7028
Li Pt N
1 1 1
Cartesian
0.0000 0.0000 0.0000
1.8886 1.0904 1.8514
1.8886 1.0904 0.0000
```